Starting from a crystal structure in Alexandria, relaxed with GGA+U, the PXRD pattern of Mn9Al2Si8H8O32 was simulated for CuKα.
Neutral-atom scattering factors, no anomalous dispersion.

Cell lengths 7.728, 8.432, 10.513 Å; angles 103.98, 104.53, 93.87 degrees
Atoms (fractional coordinates):
Mn: 0.000 0.000 0.000
Mn: 0.120 0.166 0.558
Mn: 0.138 0.392 0.073
Mn: 0.421 0.163 0.201
Mn: 0.448 0.431 0.727
Mn: 0.552 0.569 0.273
Mn: 0.579 0.837 0.799
Mn: 0.862 0.608 0.927
Mn: 0.880 0.834 0.442
Al: 0.268 0.780 0.132
Al: 0.732 0.220 0.868
Si: 0.179 0.746 0.800
Si: 0.206 0.432 0.397
Si: 0.300 0.811 0.451
Si: 0.313 0.116 0.859
Si: 0.687 0.884 0.141
Si: 0.700 0.189 0.549
Si: 0.794 0.568 0.603
Si: 0.821 0.254 0.200
H: 0.024 0.323 0.810
H: 0.138 0.989 0.270
H: 0.388 0.575 0.991
H: 0.499 0.014 0.625
H: 0.501 0.986 0.375
H: 0.612 0.425 0.009
H: 0.862 0.011 0.730
H: 0.976 0.677 0.190
O: 0.010 0.634 0.676
O: 0.055 0.640 0.132
O: 0.121 0.769 0.944
O: 0.139 0.928 0.441
O: 0.178 0.984 0.188
O: 0.199 0.930 0.771
O: 0.220 0.633 0.461
O: 0.247 0.167 0.999
O: 0.254 0.245 0.765
O: 0.273 0.349 0.522
O: 0.314 0.396 0.280
O: 0.355 0.577 0.075
O: 0.364 0.664 0.805
O: 0.386 0.790 0.321
O: 0.462 0.891 0.596
O: 0.472 0.904 0.117
O: 0.528 0.096 0.883
O: 0.538 0.109 0.404
O: 0.614 0.210 0.679
O: 0.636 0.336 0.195
O: 0.645 0.423 0.925
O: 0.686 0.604 0.720
O: 0.727 0.651 0.478
O: 0.746 0.755 0.235
O: 0.753 0.833 0.001
O: 0.780 0.367 0.539
O: 0.801 0.070 0.229
O: 0.822 0.016 0.812
O: 0.861 0.072 0.559
O: 0.879 0.231 0.056
O: 0.945 0.360 0.868
O: 0.990 0.366 0.324

Largest 10 diffraction maxima, sorted by position, 2θ from 10° to 90°:
- (1 0 -2), 18.7°, rel. 78
- (1 0 2), 24.4°, rel. 41
- (-2 1 1), 25.3°, rel. 37
- (-1 2 1), 26.2°, rel. 37
- (0 1 -3), 26.6°, rel. 68
- (-2 1 2), 28.7°, rel. 40
- (2 2 -1), 32.7°, rel. 100
- (-2 3 1), 40.1°, rel. 44
- (1 -1 4), 40.2°, rel. 46
- (3 2 -3), 44.1°, rel. 41